Theoretical powder XRD pattern
Compound: Na5B7C3
Radiation: Cu Kα (λ = 1.5418 Å)
Structure: a cell relaxed with PBE

The 10 most intense peaks (10° ≤ 2θ ≤ 80°), low angle first:
| two_theta | Rel. int. | hkl |
| --- | --- | --- |
| 35.02 | 11 | 6 0 2 |
| 36.21 | 17 | 3 1 1 |
| 41.04 | 50 | 10 0 0 |
| 42.09 | 100 | 7 1 -1 |
| 42.19 | 38 | 8 0 -4 |
| 56.79 | 10 | 11 1 -3 |
| 63.59 | 17 | 9 1 3 |
| 65.90 | 8 | 0 2 0 |
| 77.06 | 13 | 15 1 -5 |
| 79.30 | 16 | 17 1 -1 |

```
data_Na5B7C3
_cell_length_a 23.0114
_cell_length_b 2.8349
_cell_length_c 9.9875
_cell_angle_alpha 90.00
_cell_angle_beta 107.21
_cell_angle_gamma 90.00
_symmetry_space_group_name_H-M 'C 1 m 1'
_symmetry_Int_Tables_number 8
loop_
_symmetry_equiv_pos_as_xyz
'x,y,z'
'x,-y,z'
'x+1/2,y+1/2,z'
'x+1/2,-y+1/2,z'
loop_
_atom_site_label
_atom_site_type_symbol
_atom_site_fract_x
_atom_site_fract_y
_atom_site_fract_z
Na1 Na 0.0000 0.0000 0.0000
Na2 Na 0.0008 0.5000 0.4936
Na3 Na 0.0994 0.5000 0.2017
Na4 Na 0.1014 0.0000 0.6991
Na5 Na 0.1999 0.0000 0.4011
Na6 Na 0.2013 0.5000 0.9003
Na7 Na 0.2993 0.5000 0.6007
Na8 Na 0.3005 0.0000 0.0960
Na9 Na 0.3993 0.0000 0.7992
Na10 Na 0.4000 0.5000 0.2931
B1 B 0.0105 0.0000 0.2689
B2 B 0.0204 0.5000 0.7903
B3 B 0.0828 0.0000 0.4122
B4 B 0.0852 0.5000 0.9188
B5 B 0.1242 0.0000 0.9971
B6 B 0.1236 0.5000 0.4939
B7 B 0.1914 0.0000 0.1310
B8 B 0.2195 0.0000 0.6869
B9 B 0.2829 0.5000 0.3129
B10 B 0.3161 0.5000 0.8815
B11 B 0.3733 0.0000 0.4938
B12 B 0.4131 0.0000 0.0751
B13 B 0.4145 0.5000 0.5763
B14 B 0.4781 0.5000 0.7043
C1 C 0.1875 0.5000 0.6213
C2 C 0.2208 0.5000 0.1884
C3 C 0.2840 0.0000 0.8173
C4 C 0.3133 0.0000 0.3738
C5 C 0.3809 0.5000 0.0121
C6 C 0.4786 0.0000 0.2054
```